Entry 1:
Nd5ScIn6: theoretical PXRD pattern (Cu Kα), based on a crystal structure in Alexandria, relaxed with PBE.
Neutral-atom scattering factors, no anomalous dispersion.

The 12 most intense peaks (10° ≤ 2θ ≤ 90°), sorted by position:
29.9 deg, I = 4.7; 33.0 deg, I = 51.3; 33.2 deg, I = 100.0; 47.4 deg, I = 17.8; 47.8 deg, I = 8.2; 59.1 deg, I = 34.9; 59.3 deg, I = 16.5; 69.2 deg, I = 3.0; 69.6 deg, I = 9.8; 78.9 deg, I = 3.9; 79.0 deg, I = 10.2; 79.6 deg, I = 6.1

Atomic structure:
Cell lengths 9.372, 9.372, 9.372 Å; angles 146.33, 132.09, 59.83 degrees
Sites, in units of the cell vectors:
Nd 0.000 0.000 0.000
Nd 0.162 0.662 0.500
Nd 0.323 0.323 0.000
Nd 0.677 0.677 0.000
Nd 0.838 0.338 0.500
Sc 0.500 0.000 0.500
In 0.106 0.841 0.265
In 0.277 0.500 0.777
In 0.424 0.159 0.265
In 0.576 0.841 0.735
In 0.723 0.500 0.223
In 0.894 0.159 0.735


Entry 2:
Nd3ScIn2: theoretical PXRD pattern (Cu Kα), based on a crystal structure in Alexandria, relaxed with PBE.
Neutral-atom scattering factors, no anomalous dispersion.

The 12 most intense peaks (10° ≤ 2θ ≤ 90°), sorted by position:
31.8 deg, I = 100.0; 34.9 deg, I = 18.0; 36.1 deg, I = 18.3; 39.7 deg, I = 14.0; 51.1 deg, I = 12.0; 53.9 deg, I = 10.2; 54.7 deg, I = 10.8; 60.7 deg, I = 12.4; 62.2 deg, I = 14.2; 66.5 deg, I = 10.7; 67.1 deg, I = 11.3; 83.9 deg, I = 5.6

Atomic structure:
Cell lengths 8.105, 8.105, 4.541 Å; angles 90.00, 90.00, 144.21 degrees
Sites, in units of the cell vectors:
Nd 0.000 0.000 0.000
Nd 0.328 0.672 0.000
Nd 0.672 0.328 0.000
Sc 0.500 0.500 0.500
In 0.153 0.847 0.500
In 0.847 0.153 0.500


Entry 3:
Nd5InSe4: theoretical PXRD pattern (Cu Kα), based on a crystal structure in Alexandria, relaxed with PBE.
Neutral-atom scattering factors, no anomalous dispersion.

The 12 most intense peaks (10° ≤ 2θ ≤ 90°), sorted by position:
25.4 deg, I = 15.7; 29.4 deg, I = 89.3; 29.5 deg, I = 44.2; 42.1 deg, I = 100.0; 49.7 deg, I = 5.1; 52.2 deg, I = 35.2; 60.9 deg, I = 10.9; 61.2 deg, I = 5.5; 69.1 deg, I = 29.8; 69.3 deg, I = 15.0; 76.8 deg, I = 22.0; 77.0 deg, I = 11.1

Atomic structure:
Cell lengths 7.446, 7.446, 7.446 Å; angles 99.53, 99.53, 131.98 degrees
Sites, in units of the cell vectors:
Nd 0.000 0.000 0.000
Nd 0.193 0.600 0.794
Nd 0.400 0.193 0.593
Nd 0.600 0.807 0.407
Nd 0.807 0.400 0.206
In 0.500 0.500 0.000
Se 0.102 0.300 0.402
Se 0.300 0.898 0.197
Se 0.700 0.102 0.803
Se 0.898 0.700 0.598